This entry pairs a crystal structure of CuH8C10I2Br2N2 with its calculated powder XRD pattern. Radiation: Cu Kα X-rays. Structure: a structure optimized by DFT (GGA-PBE).
Peak positions follow from Bragg's law for the DFT cell and can differ from measured ones.

a = 4.1387 Å, b = 8.5862 Å, c = 10.2222 Å
α = 89.01°, β = 84.72°, γ = 80.26°
Atoms (fractional coordinates):
Cu: 0.0000 0.0000 0.0000
H: 0.0964 0.5466 0.8249
H: 0.1075 0.4920 0.3918
H: 0.1368 0.3213 0.9879
H: 0.1875 0.9717 0.2713
H: 0.8125 0.0283 0.7287
H: 0.8632 0.6787 0.0121
H: 0.8925 0.5080 0.6082
H: 0.9036 0.4534 0.1751
C: 0.0264 0.4340 0.8011
C: 0.0487 0.3108 0.8916
C: 0.0833 0.5886 0.3208
C: 0.1300 0.8549 0.2544
C: 0.1592 0.7358 0.3491
C: 0.8408 0.2642 0.6509
C: 0.8700 0.1451 0.7456
C: 0.9167 0.4114 0.6792
C: 0.9513 0.6892 0.1084
C: 0.9736 0.5660 0.1989
I: 0.2972 0.7815 0.5362
I: 0.7028 0.2185 0.4638
Br: 0.4353 0.8322 0.8547
Br: 0.5647 0.1678 0.1453
N: 0.0307 0.8302 0.1357
N: 0.9693 0.1698 0.8643

Peak list (10 most intense, 2θ from 10° to 90°, in order of falling intensity)
d/Å, 2θ (°), Rel. int.
3.904, 22.78, 100
8.463, 10.45, 98
3.561, 25.00, 75
3.253, 27.42, 72
3.189, 27.98, 65
3.443, 25.88, 63
4.231, 21.00, 57
2.646, 33.88, 52
3.213, 27.77, 49
3.929, 22.63, 48

=====

This entry pairs a crystal structure of Hf5Cd3Ag with its calculated powder XRD pattern. Radiation: Cu Kα X-rays. Structure: a structure optimized by DFT (GGA-PBE).
Peak positions follow from Bragg's law for the DFT cell and can differ from measured ones.

a = 8.6007 Å, b = 8.6007 Å, c = 2.9405 Å
α = 90.00°, β = 90.00°, γ = 120.00°
Atoms (fractional coordinates):
Hf: 0.0000 0.2870 0.0000
Hf: 0.2870 0.0000 0.0000
Hf: 0.3333 0.6667 0.0000
Hf: 0.6667 0.3333 0.0000
Hf: 0.7130 0.7130 0.0000
Cd: 0.0000 0.6329 0.5000
Cd: 0.3671 0.3671 0.5000
Cd: 0.6329 0.0000 0.5000
Ag: 0.0000 0.0000 0.5000

Peak list (10 most intense, 2θ from 10° to 90°, in order of falling intensity)
d/Å, 2θ (°), Rel. int.
2.483, 36.18, 100
2.427, 37.04, 73
2.308, 39.03, 32
1.477, 62.91, 26
2.815, 31.79, 26
2.034, 44.56, 26
1.265, 75.09, 23
1.736, 52.74, 16
1.423, 65.63, 14
1.218, 78.56, 12

=====

This entry pairs a crystal structure of Gd2DyEr with its calculated powder XRD pattern. Radiation: Cu Kα X-rays. Structure: a structure optimized by DFT (GGA-PBE).
Peak positions follow from Bragg's law for the DFT cell and can differ from measured ones.

a = 5.6515 Å, b = 7.2165 Å, c = 7.2165 Å
α = 120.02°, β = 90.00°, γ = 90.00°
Atoms (fractional coordinates):
Gd: 0.2500 0.0833 0.4171
Gd: 0.2500 0.0833 0.9167
Gd: 0.7500 0.4171 0.0833
Gd: 0.7500 0.9167 0.0833
Dy: 0.2500 0.5844 0.4175
Dy: 0.7500 0.4175 0.5844
Er: 0.2500 0.5841 0.9173
Er: 0.7500 0.9173 0.5841

Peak list (10 most intense, 2θ from 10° to 90°, in order of falling intensity)
d/Å, 2θ (°), Rel. int.
2.734, 32.75, 100
2.826, 31.66, 24
3.125, 28.57, 24
1.521, 60.93, 23
1.613, 57.09, 21
1.804, 50.60, 20
1.506, 61.59, 16
2.096, 43.17, 16
1.156, 83.66, 14
1.112, 87.75, 8

=====

This entry pairs a crystal structure of Ta4Ni9 with its calculated powder XRD pattern. Radiation: Cu Kα X-rays. Structure: a structure optimized by DFT (GGA-PBE).
Peak positions follow from Bragg's law for the DFT cell and can differ from measured ones.

a = 8.9708 Å, b = 8.9708 Å, c = 8.9708 Å
α = 30.72°, β = 30.72°, γ = 30.72°
Atoms (fractional coordinates):
Ta: 0.1410 0.1410 0.1410
Ta: 0.3351 0.3351 0.3351
Ta: 0.6649 0.6649 0.6649
Ta: 0.8590 0.8590 0.8590
Ni: 0.0458 0.0458 0.0458
Ni: 0.0860 0.5914 0.5914
Ni: 0.4086 0.4086 0.9140
Ni: 0.4086 0.9140 0.4086
Ni: 0.5000 0.5000 0.5000
Ni: 0.5914 0.0860 0.5914
Ni: 0.5914 0.5914 0.0860
Ni: 0.9140 0.4086 0.4086
Ni: 0.9542 0.9542 0.9542

Peak list (10 most intense, 2θ from 10° to 90°, in order of falling intensity)
d/Å, 2θ (°), Rel. int.
2.076, 43.59, 100
2.376, 37.87, 85
2.027, 44.70, 56
2.175, 41.52, 50
3.462, 25.73, 37
1.959, 46.35, 33
1.909, 47.62, 33
1.294, 73.16, 25
1.188, 80.92, 25
1.306, 72.35, 22

=====

This entry pairs a crystal structure of Zr4PdAu with its calculated powder XRD pattern. Radiation: Cu Kα X-rays. Structure: a structure optimized by DFT (GGA-PBE).
Peak positions follow from Bragg's law for the DFT cell and can differ from measured ones.

a = 4.6525 Å, b = 6.2173 Å, c = 6.2173 Å
α = 136.07°, β = 90.00°, γ = 90.00°
Atoms (fractional coordinates):
Zr: 0.0000 0.1588 0.8412
Zr: 0.0000 0.8412 0.1588
Zr: 0.5000 0.3398 0.6588
Zr: 0.5000 0.6588 0.3398
Pd: 0.5000 0.9975 0.9975
Au: 0.0000 0.5011 0.5011

Peak list (10 most intense, 2θ from 10° to 90°, in order of falling intensity)
d/Å, 2θ (°), Rel. int.
2.499, 35.93, 100
2.326, 38.72, 41
1.374, 68.27, 30
1.482, 62.71, 19
1.645, 55.91, 14
1.922, 47.29, 11
1.250, 76.19, 11
5.766, 15.37, 9
1.194, 80.43, 9
1.163, 83.05, 4

=====

This entry pairs a crystal structure of Er3As2Se with its calculated powder XRD pattern. Radiation: Cu Kα X-rays. Structure: a structure optimized by DFT (GGA-PBE).
Peak positions follow from Bragg's law for the DFT cell and can differ from measured ones.

a = 7.0339 Å, b = 7.0339 Å, c = 7.0339 Å
α = 146.40°, β = 131.86°, γ = 59.98°
Atoms (fractional coordinates):
Er: 0.0000 0.0000 0.0000
Er: 0.3271 0.3271 0.0000
Er: 0.6729 0.6729 0.0000
As: 0.1650 0.6650 0.5000
As: 0.8350 0.3350 0.5000
Se: 0.5000 0.0000 0.5000

Peak list (10 most intense, 2θ from 10° to 90°, in order of falling intensity)
d/Å, 2θ (°), Rel. int.
2.872, 31.14, 100
2.031, 44.62, 74
1.658, 55.42, 26
3.316, 26.89, 24
1.285, 73.75, 22
1.173, 82.21, 21
1.732, 52.87, 12
1.283, 73.84, 11
1.437, 64.91, 8
1.172, 82.30, 4